The following is a calculated powder XRD pattern of Ba3Mg7Hg2. It was derived from the GGA-PBE geometry in Alexandria, using Cu Kα, 1.54184 Å.

Structural model:
```
data_Ba3Mg7Hg2
_chemical_formula_sum 'Ba9 Mg21 Hg6'
_space_group_name_H-M_alt 'R -3 m'
_space_group_IT_number 166
_space_group_name_Hall '-R 3 2"'
_cell_length_a 6.5353
_cell_length_b 6.5353
_cell_length_c 30.1098
_cell_angle_alpha 90.00
_cell_angle_beta 90.00
_cell_angle_gamma 120.00
loop_
_atom_site_label
_atom_site_fract_x
_atom_site_fract_y
_atom_site_fract_z
Ba1 0.0000 0.0000 0.0000
Ba2 0.0000 0.0000 0.1447
Mg1 0.0000 0.0000 0.5000
Mg2 0.0003 0.5002 0.0769
Hg1 0.0000 0.0000 0.3339
```

Largest 6 diffraction maxima, by angle, 10° ≤ 2θ ≤ 90°:
| 2θ/deg | I/Imax | hkl |
| --- | --- | --- |
| 17.67 | 40 | 0 0 6 |
| 19.62 | 19 | 1 0 4 |
| 27.29 | 76 | 1 1 0 |
| 32.70 | 100 | 1 1 6 |
| 38.51 | 20 | 1 1 9 |
| 51.77 | 27 | 3 0 6 |